The following is a computed X-ray diffraction stick pattern of Y3Er2Tm2Ni2Se2. It was derived from a GGA-PBE-relaxed structure, using Cu Kα, 1.54184 Å.
Peak positions follow from Bragg's law for the DFT cell and can differ from measured ones.

The 8 most intense peaks (10° ≤ 2θ ≤ 90°), most intense first:
| d/Å | Position (°2θ) | I/Imax |
| --- | --- | --- |
| 2.565 | 35.0 | 100 |
| 2.532 | 35.4 | 76 |
| 2.629 | 34.1 | 70 |
| 2.881 | 31.0 | 52 |
| 3.025 | 29.5 | 37 |
| 2.858 | 31.3 | 34 |
| 3.511 | 25.4 | 32 |
| 1.897 | 48.0 | 31 |

Cell and atoms:
Cell lengths 3.7936, 15.0221, 9.2660 Å; angles 90.00, 90.00, 90.00 degrees
Space group Imm2 (No. 44)
Asymmetric unit:
Y 0.0000 0.0000 0.0000 (multiplicity 2)
Y 0.0000 0.3588 0.2573 (multiplicity 4)
Er 0.0000 0.1260 0.4118 (multiplicity 4)
Tm 0.0000 0.3169 0.6168 (multiplicity 4)
Ni 0.0000 0.2397 0.9260 (multiplicity 4)
Se 0.0000 0.0000 0.6581 (multiplicity 2)
Se 0.0000 0.5000 0.7582 (multiplicity 2)